Starting from a cell relaxed with PBE+U, the PXRD pattern of Li5Mn2Cu3O10 was computed for copper Kα.

Crystal structure
Cell: 5.054 5.405 7.575 Å, 104.25 103.12 104.75°
Fractional positions:
1 Li 0.000 0.000 0.000
2 Li 0.098 0.215 0.711
3 Li 0.197 0.429 0.422
4 Li 0.388 0.818 0.818
5 Li 0.808 0.612 0.605
6 Mn 0.495 0.037 0.517
7 Mn 0.701 0.392 0.904
8 Cu 0.297 0.603 0.110
9 Cu 0.599 0.215 0.211
10 Cu 0.900 0.826 0.312
11 O 0.047 0.595 0.874
12 O 0.148 0.836 0.548
13 O 0.258 0.053 0.282
14 O 0.383 0.186 0.965
15 O 0.467 0.381 0.665
16 O 0.538 0.695 0.376
17 O 0.657 0.736 0.047
18 O 0.729 0.049 0.757
19 O 0.814 0.242 0.456
20 O 0.940 0.382 0.140

Largest 10 diffraction maxima, in order of rising 2θ, 10 to 90 degrees two-theta:
index  d [Å]  I_rel
0 0 1  6.982  100
0 1 -1  4.840  97
1 0 0  4.648  35
1 -1 0  4.133  31
1 -2 0  2.561  27
0 2 -2  2.422  28
1 1 1  2.398  31
-1 2 1  2.286  84
1 -1 3  2.024  65
2 1 -2  1.993  62